Record 1
Diffraction record for LiMn2P4H11O18. The X-ray powder pattern is simulated, not measured: it uses a DFT-relaxed cell (GGA+U, Alexandria) and λ = 1.5418 Å (Cu Kα).
No peak broadening, texture or thermal motion is included.

Atomic structure:
```
LiMn2P4H11O18
1.0
5.4225 0.0000 0.0000
2.4113 5.8450 0.0000
1.2912 2.6916 11.4941
Li Mn P H O
1 2 4 11 18
direct
0.0000 0.0000 0.0000
0.4960 0.6888 0.4622
0.5151 0.3246 0.2756
0.0140 0.1966 0.4664
0.3878 0.2274 0.0164
0.7005 0.7449 0.7255
0.9929 0.8239 0.2643
0.0984 0.5165 0.8790
0.1380 0.1323 0.1975
0.1541 0.3359 0.5884
0.2357 0.5301 0.6695
0.4935 0.3072 0.6556
0.5002 0.9890 0.8436
0.5146 0.7287 0.0713
0.6052 0.4601 0.8587
0.7019 0.4741 0.0559
0.8653 0.6639 0.1406
0.8887 0.8817 0.5356
0.0032 0.2821 0.5813
0.0534 0.9251 0.5046
0.1461 0.4604 0.9667
0.2579 0.1967 0.3928
0.2704 0.6767 0.3142
0.3560 0.0169 0.9822
0.3584 0.4480 0.6099
0.3634 0.2001 0.1501
0.5256 0.6033 0.7923
0.5779 0.9927 0.7627
0.6390 0.5721 0.1139
0.6557 0.2528 0.9697
0.6602 0.8024 0.5940
0.7382 0.3398 0.4122
0.7531 0.8198 0.3397
0.9623 0.0922 0.2198
0.9842 0.7534 0.1438
0.9924 0.6196 0.7595
```

The 10 most intense peaks (10 to 90 degrees two-theta), by angle:
- 15.7°, rel. 25.0
- 17.7°, rel. 16.3
- 19.3°, rel. 23.0
- 21.8°, rel. 99.0
- 26.8°, rel. 100.0
- 27.7°, rel. 20.1
- 29.7°, rel. 44.2
- 31.1°, rel. 16.7
- 31.4°, rel. 22.8
- 34.7°, rel. 18.3

=====

Record 2
Diffraction record for LiMnPHO5. The X-ray powder pattern is simulated, not measured: it uses a DFT-relaxed cell (GGA+U, Alexandria) and λ = 1.5418 Å (Cu Kα).
No peak broadening, texture or thermal motion is included.

Atomic structure:
```
LiMnPHO5
1.0
5.1738 0.0000 0.0000
-1.1025 5.4387 0.0000
-2.2178 -2.5248 6.4309
Li Mn P H O
2 2 2 2 10
direct
0.2481 0.3861 0.3242
0.7519 0.6139 0.6758
0.5000 0.0000 0.0000
0.5000 0.0000 0.5000
0.1709 0.3725 0.7345
0.8291 0.6275 0.2655
0.1389 0.9197 0.1557
0.8611 0.0803 0.8443
0.1429 0.7431 0.4328
0.1877 0.6668 0.8402
0.2086 0.2251 0.8862
0.3427 0.0394 0.2232
0.3772 0.3560 0.6199
0.6228 0.6440 0.3801
0.6573 0.9606 0.7768
0.7914 0.7749 0.1138
0.8123 0.3332 0.1598
0.8571 0.2569 0.5672
```

The 10 most intense peaks (10 to 90 degrees two-theta), by angle:
- 17.5°, rel. 18.1
- 18.7°, rel. 17.0
- 19.0°, rel. 25.2
- 21.5°, rel. 24.5
- 25.1°, rel. 21.0
- 26.1°, rel. 32.1
- 26.9°, rel. 100.0
- 29.8°, rel. 46.1
- 34.6°, rel. 43.1
- 52.6°, rel. 13.2

=====

Please write out number 2 again, unchanged.
Diffraction record for LiMnPHO5. The X-ray powder pattern is simulated, not measured: it uses a DFT-relaxed cell (GGA+U, Alexandria) and λ = 1.5418 Å (Cu Kα).
No peak broadening, texture or thermal motion is included.

Atomic structure:
```
LiMnPHO5
1.0
5.1738 0.0000 0.0000
-1.1025 5.4387 0.0000
-2.2178 -2.5248 6.4309
Li Mn P H O
2 2 2 2 10
direct
0.2481 0.3861 0.3242
0.7519 0.6139 0.6758
0.5000 0.0000 0.0000
0.5000 0.0000 0.5000
0.1709 0.3725 0.7345
0.8291 0.6275 0.2655
0.1389 0.9197 0.1557
0.8611 0.0803 0.8443
0.1429 0.7431 0.4328
0.1877 0.6668 0.8402
0.2086 0.2251 0.8862
0.3427 0.0394 0.2232
0.3772 0.3560 0.6199
0.6228 0.6440 0.3801
0.6573 0.9606 0.7768
0.7914 0.7749 0.1138
0.8123 0.3332 0.1598
0.8571 0.2569 0.5672
```

The 10 most intense peaks (10 to 90 degrees two-theta), by angle:
- 17.5°, rel. 18.1
- 18.7°, rel. 17.0
- 19.0°, rel. 25.2
- 21.5°, rel. 24.5
- 25.1°, rel. 21.0
- 26.1°, rel. 32.1
- 26.9°, rel. 100.0
- 29.8°, rel. 46.1
- 34.6°, rel. 43.1
- 52.6°, rel. 13.2